# 1
The following is a theoretical powder diffraction line list of CsSr3. It was derived from DFT lattice parameters and positions (PBE), using Cu Kα (λ = 1.5418 Å).
Intensities are scaled so that the largest is 1000.

Structural model:
abc: 7.0688 7.0688 7.0688
angles: 60.00 60.00 60.00
Atoms (fractional coordinates):
Cs 0.0000 0.0000 0.0000
Sr 0.2500 0.2500 0.2500
Sr 0.5000 0.5000 0.5000
Sr 0.7500 0.7500 0.7500

Peak list (6 most intense, 10 to 90 degrees two-theta, by angle)
- 25.20°, I 1000
- 35.93°, I 197
- 44.39°, I 429
- 51.73°, I 136
- 58.38°, I 189
- 70.49°, I 217

=====

# 2
The following is a theoretical powder diffraction line list of SiO2. It was derived from DFT lattice parameters and positions (PBE), using Cu Kα (λ = 1.5418 Å).
Intensities are scaled so that the largest is 1000.

Structural model:
abc: 5.0682 5.0682 5.0682
angles: 127.67 79.69 124.59
Atoms (fractional coordinates):
Si 0.2500 0.2500 0.0000
Si 0.7500 0.7500 0.0000
O 0.1058 0.1913 0.2971
O 0.3942 0.6913 0.0854
O 0.6058 0.3087 0.9146
O 0.8942 0.8087 0.7029

Peak list (6 most intense, 10 to 90 degrees two-theta, by angle)
- 22.92°, I 1000
- 36.05°, I 233
- 45.01°, I 81
- 56.65°, I 71
- 56.78°, I 80
- 61.84°, I 69

=====

# 3
The following is a theoretical powder diffraction line list of LaMgAl7Fe2. It was derived from DFT lattice parameters and positions (PBE), using Cu Kα (λ = 1.5418 Å).
Intensities are scaled so that the largest is 1000.

Structural model:
abc: 12.9846 14.4781 4.0204
angles: 90.00 90.00 90.00
Atoms (fractional coordinates):
La 0.1604 0.1808 0.0000
La 0.3396 0.6808 0.0000
La 0.6604 0.3192 0.0000
La 0.8396 0.8192 0.0000
Mg 0.1677 0.4524 0.0000
Mg 0.3323 0.9524 0.0000
Mg 0.6677 0.0476 0.0000
Mg 0.8323 0.5476 0.0000
Al 0.0000 0.0000 0.0000
Al 0.0000 0.5000 0.5000
Al 0.0260 0.8670 0.5000
Al 0.0474 0.3221 0.5000
Al 0.0932 0.7447 0.0000
Al 0.1565 0.6200 0.5000
Al 0.1654 0.0053 0.5000
Al 0.2292 0.8274 0.5000
Al 0.2708 0.3274 0.5000
Al 0.3346 0.5053 0.5000
Al 0.3435 0.1200 0.5000
Al 0.4068 0.2447 0.0000
Al 0.4526 0.8221 0.5000
Al 0.4740 0.3670 0.5000
Al 0.5000 0.0000 0.5000
Al 0.5000 0.5000 0.0000
Al 0.5260 0.6330 0.5000
Al 0.5474 0.1779 0.5000
Al 0.5932 0.7553 0.0000
Al 0.6565 0.8800 0.5000
Al 0.6654 0.4947 0.5000
Al 0.7292 0.6726 0.5000
Al 0.7708 0.1726 0.5000
Al 0.8346 0.9947 0.5000
Al 0.8435 0.3800 0.5000
Al 0.9068 0.2553 0.0000
Al 0.9526 0.6779 0.5000
Al 0.9740 0.1330 0.5000
Fe 0.0338 0.5914 0.0000
Fe 0.1395 0.8996 0.0000
Fe 0.3605 0.3996 0.0000
Fe 0.4662 0.0914 0.0000
Fe 0.5338 0.9086 0.0000
Fe 0.6395 0.6004 0.0000
Fe 0.8605 0.1004 0.0000
Fe 0.9662 0.4086 0.0000

Peak list (6 most intense, 10 to 90 degrees two-theta, by angle)
- 21.43°, I 482
- 22.11°, I 462
- 34.04°, I 785
- 35.71°, I 1000
- 36.10°, I 511
- 45.10°, I 515

=====

# 4
The following is a theoretical powder diffraction line list of Mg3Zn. It was derived from DFT lattice parameters and positions (PBE), using Cu Kα (λ = 1.5418 Å).
Intensities are scaled so that the largest is 1000.

Structural model:
abc: 5.1843 5.1843 5.1843
angles: 129.10 129.10 74.86
Atoms (fractional coordinates):
Mg 0.0000 0.0000 0.0000
Mg 0.2500 0.7500 0.5000
Mg 0.7500 0.2500 0.5000
Zn 0.5000 0.5000 0.0000

Peak list (6 most intense, 10 to 90 degrees two-theta, by angle)
- 22.69°, I 302
- 35.89°, I 1000
- 40.49°, I 354
- 43.99°, I 139
- 61.31°, I 196
- 70.66°, I 249